No. 1
This entry pairs a crystal structure of Li7Fe3NiP6O24 with its simulated powder diffractogram. Radiation: Cu Kα, 1.54184 Å. Structure: a crystal structure in Alexandria, relaxed with GGA+U.

Main lines, by angle (10 to 90 degrees two-theta):
6.146 Å, I = 67.9; 4.504 Å, I = 77.0; 3.683 Å, I = 100.0; 3.073 Å, I = 49.7; 2.828 Å, I = 86.0; 2.427 Å, I = 25.7

Atomic structure:
```
41
Lattice="4.2036 2.4269 7.6440 -4.2036 2.4269 7.6440 0.0000 -4.8539 7.6440" Properties=species:S:1:pos:R:3 pbc="T T T"
Li 0.0000 0.0000 0.0000
Li -2.5237 0.1984 11.3954
Li -1.4595 -2.0755 13.5296
Li 1.0900 -2.2848 11.3954
Li -1.0676 2.3017 13.5296
Li 1.4336 2.0864 11.3954
Li 2.5272 -0.2263 13.5296
Fe 0.0000 0.0000 4.4962
Fe 0.0000 0.0000 9.1235
Fe 0.0000 0.0000 15.8621
Ni 0.0000 0.0000 20.3461
P -2.4629 -0.0089 6.7761
P -1.7358 -2.4291 10.5720
P 1.2391 -2.1285 6.7761
P -1.2358 2.7178 10.5720
P 1.2238 2.1374 6.7761
P 2.9716 -0.2887 10.5720
O -1.6530 -0.6210 5.5560
O -0.1744 -1.6497 3.3512
O -2.8693 1.4680 6.4657
O -1.3415 0.9759 3.3512
O 0.1633 -3.2189 6.4657
O -2.5190 -1.7505 11.7576
O -1.6438 -0.0690 8.0484
O -0.4468 -1.5804 10.4056
O 1.3643 -1.1210 5.5560
O 0.8817 -1.3890 8.0484
O 1.5159 0.6738 3.3512
O 0.2887 1.7420 5.5560
O -1.1452 1.1772 10.4056
O -1.5728 -0.3760 14.5231
O -0.8787 -1.3967 16.9402
O 0.7621 1.4581 8.0484
O 1.5921 0.4032 10.4056
O 1.1120 -1.1741 14.5232
O -0.2565 3.0567 11.7576
O 2.7060 1.7509 6.4657
O -0.7703 1.4593 16.9402
O 2.7755 -1.3062 11.7576
O 0.4608 1.5501 14.5232
O 1.6489 -0.0626 16.9402
```

---

No. 2
This entry pairs a crystal structure of Li4FeNi3P4O16 with its simulated powder diffractogram. Radiation: Cu Kα, 1.54184 Å. Structure: a crystal structure in Alexandria, relaxed with GGA+U.

Main lines, by angle (10 to 90 degrees two-theta):
5.111 Å, I = 38.5; 4.294 Å, I = 48.9; 3.485 Å, I = 91.1; 2.982 Å, I = 59.7; 2.509 Å, I = 100.0; 1.742 Å, I = 35.9

Atomic structure:
```
28
Lattice="4.7321 0.0000 0.0000 0.0000 5.9640 0.0000 -0.0204 0.0000 10.2229" Properties=species:S:1:pos:R:3 pbc="T T T"
Li 0.0000 1.4842 0.0000
Li 0.0000 4.4799 0.0000
Li 2.3584 1.4929 5.1622
Li 2.3584 4.4711 5.1622
Fe 0.1074 0.0000 2.8621
Ni 2.2688 0.0000 7.9633
Ni 2.4344 2.9820 2.2910
Ni 4.6408 2.9820 7.4394
P 0.3758 2.9820 4.1759
P 1.9622 2.9820 9.2778
P 2.7493 0.0000 0.9464
P 4.3265 0.0000 6.1344
O 0.9277 2.9820 5.6274
O 1.0466 1.7625 3.4429
O 1.0466 4.2015 3.4429
O 1.1317 0.0000 6.1732
O 1.2155 0.0000 0.9711
O 1.2991 1.7528 8.5474
O 1.2991 4.2112 8.5474
O 1.4125 2.9820 0.5020
O 3.3142 0.0000 9.7264
O 3.3925 1.2383 1.6749
O 3.3925 4.7257 1.6749
O 3.4972 2.9820 9.2257
O 3.5733 2.9820 4.1050
O 3.6677 1.2352 6.8557
O 3.6677 4.7289 6.8557
O 3.7566 0.0000 4.6907
```

---

No. 3
This entry pairs a crystal structure of Li4Fe3Ni2Sb3O16 with its simulated powder diffractogram. Radiation: Cu Kα, 1.54184 Å. Structure: a crystal structure in Alexandria, relaxed with GGA+U.

Main lines, by angle (10 to 90 degrees two-theta):
4.915 Å, I = 100.0; 4.709 Å, I = 33.9; 4.674 Å, I = 38.7; 4.634 Å, I = 31.9; 2.576 Å, I = 32.9; 2.547 Å, I = 48.6

Atomic structure:
```
28
Lattice="5.3071 -3.0472 0.0000 5.3071 3.0472 0.0000 -0.1970 0.0000 9.8304" Properties=species:S:1:pos:R:3 pbc="T T T"
Li 0.0000 0.0000 0.0000
Li 0.0227 0.0000 5.0785
Li 3.3673 0.0000 6.2548
Li 7.0722 0.0000 1.0302
Fe 1.7018 0.0000 2.8346
Fe 5.9432 1.4999 7.7844
Fe 5.9432 -1.4999 7.7844
Ni 3.1950 0.0000 9.7888
Ni 6.7790 0.0000 5.2366
Sb 4.3202 1.5064 2.8619
Sb 4.3202 -1.5064 2.8619
Sb 8.5508 0.0000 7.7775
O 2.6942 1.3932 1.7417
O 4.1508 1.6142 8.8989
O 1.4202 0.0000 8.8729
O 5.9976 1.5991 3.9295
O 3.4650 0.0000 3.9764
O 5.0796 0.0000 1.7173
O 2.6942 -1.3932 1.7417
O 5.2725 0.0000 6.6155
O 7.6550 1.3563 6.5777
O 6.8505 0.0000 8.8897
O 4.1508 -1.6142 8.8989
O 5.9976 -1.5991 3.9295
O 8.8796 0.0000 3.9603
O 7.6550 -1.3563 6.5777
O 10.3213 0.0000 6.8212
O 10.5069 0.0000 1.8236
```